This entry pairs a crystal structure of AcNp2S4 with its calculated powder XRD pattern. Radiation: Cu Kα X-rays. Structure: a crystal structure in Alexandria, relaxed with GGA-PBE.

Crystal structure
a b c (Å): 6.815 6.815 13.285
angles (deg): 90.00 90.00 145.59
Positions (direct):
Ac 0.116 0.884 0.750
Ac 0.884 0.116 0.250
Np 0.369 0.631 0.562
Np 0.369 0.631 0.938
Np 0.631 0.369 0.062
Np 0.631 0.369 0.438
S 0.000 0.000 0.000
S 0.000 0.000 0.500
S 0.267 0.733 0.119
S 0.267 0.733 0.381
S 0.449 0.551 0.750
S 0.551 0.449 0.250
S 0.733 0.267 0.619
S 0.733 0.267 0.881

Main lines, by angle (2θ from 15° to 90°):
two_theta  I_rel
24.1  313
24.3  1000
26.8  494
27.4  318
31.0  379
33.2  482
41.3  362
43.6  194
45.0  177
45.9  196
46.6  226
51.8  274

=====

This entry pairs a crystal structure of KZnPb2 with its calculated powder XRD pattern. Radiation: Cu Kα X-rays. Structure: a crystal structure in Alexandria, relaxed with GGA-PBE.

Crystal structure
a b c (Å): 3.652 4.362 7.985
angles (deg): 90.00 90.00 90.00
Positions (direct):
K 0.000 0.000 0.000
Zn 0.500 0.500 0.714
Pb 0.000 0.000 0.540
Pb 0.500 0.500 0.319

Main lines, by angle (2θ from 15° to 90°):
two_theta  I_rel
23.2  242
30.3  939
32.0  1000
33.2  742
33.9  449
39.7  297
41.4  248
42.0  254
50.0  213
54.1  375
56.6  191
59.6  281

=====

This entry pairs a crystal structure of LiPmCo with its calculated powder XRD pattern. Radiation: Cu Kα X-rays. Structure: a crystal structure in Alexandria, relaxed with GGA-PBE.

Crystal structure
a b c (Å): 11.593 11.593 11.593
angles (deg): 19.35 19.35 19.35
Positions (direct):
Li 0.196 0.196 0.196
Li 0.804 0.804 0.804
Pm 0.055 0.055 0.055
Pm 0.945 0.945 0.945
Co 0.333 0.333 0.333
Co 0.667 0.667 0.667

Main lines, by angle (2θ from 15° to 90°):
two_theta  I_rel
23.5  198
26.5  744
26.9  367
32.3  815
33.9  1000
37.5  702
39.5  452
46.6  624
47.3  451
58.9  201
69.1  348
78.2  247

=====

This entry pairs a crystal structure of Sm3Tm2ScTe6 with its calculated powder XRD pattern. Radiation: Cu Kα X-rays. Structure: a crystal structure in Alexandria, relaxed with GGA-PBE.

Crystal structure
a b c (Å): 9.782 9.782 8.799
angles (deg): 104.43 104.43 25.45
Positions (direct):
Sm 0.000 0.000 0.000
Sm 0.331 0.331 0.663
Sm 0.669 0.669 0.337
Tm 0.334 0.334 0.168
Tm 0.666 0.666 0.832
Sc 0.000 0.000 0.500
Te 0.160 0.160 0.589
Te 0.170 0.170 0.077
Te 0.499 0.499 0.264
Te 0.501 0.501 0.736
Te 0.830 0.830 0.923
Te 0.840 0.840 0.411

Main lines, by angle (2θ from 15° to 90°):
two_theta  I_rel
29.0  1000
41.1  379
41.9  370
50.4  67
51.8  198
60.1  122
67.5  110
68.7  57
68.7  111
74.3  60
76.0  81
76.5  64

=====

This entry pairs a crystal structure of Np4Ge12Os with its calculated powder XRD pattern. Radiation: Cu Kα X-rays. Structure: a crystal structure in Alexandria, relaxed with GGA-PBE.

Crystal structure
a b c (Å): 7.461 7.461 7.461
angles (deg): 109.47 109.47 109.47
Positions (direct):
Np 0.000 0.000 0.500
Np 0.000 0.500 0.000
Np 0.500 0.000 0.000
Np 0.500 0.500 0.500
Ge 0.000 0.292 0.292
Ge 0.000 0.708 0.708
Ge 0.250 0.500 0.750
Ge 0.250 0.750 0.500
Ge 0.292 0.000 0.292
Ge 0.292 0.292 0.000
Ge 0.500 0.250 0.750
Ge 0.500 0.750 0.250
Ge 0.708 0.000 0.708
Ge 0.708 0.708 0.000
Ge 0.750 0.250 0.500
Ge 0.750 0.500 0.250
Os 0.000 0.000 0.000

Main lines, by angle (2θ from 15° to 90°):
two_theta  I_rel
20.6  199
29.3  735
36.1  1000
39.1  144
41.9  746
47.2  142
52.0  265
60.8  463
68.9  184
72.8  330
76.6  146
84.1  191

=====

This entry pairs a crystal structure of YTm5In4 with its calculated powder XRD pattern. Radiation: Cu Kα X-rays. Structure: a crystal structure in Alexandria, relaxed with GGA-PBE.

Crystal structure
a b c (Å): 3.541 3.541 21.408
angles (deg): 90.00 90.00 90.00
Positions (direct):
Y 0.000 0.000 0.000
Tm 0.500 0.500 0.115
Tm 0.500 0.500 0.307
Tm 0.500 0.500 0.500
Tm 0.500 0.500 0.693
Tm 0.500 0.500 0.885
In 0.000 0.000 0.211
In 0.000 0.000 0.404
In 0.000 0.000 0.596
In 0.000 0.000 0.789

Main lines, by angle (2θ from 15° to 90°):
two_theta  I_rel
32.8  1000
35.7  61
35.9  431
42.2  95
51.6  151
56.6  159
62.5  308
68.8  89
71.2  48
76.0  91
85.3  66
87.0  74